# Li4Fe2P4H3O16
Theoretical X-ray powder pattern, CuKα. Input: a GGA+U-relaxed structure.
Intensities are scaled so that the largest is 100.

Largest 12 diffraction maxima, by angle, 10° ≤ 2θ ≤ 80°:
h k l, 2θ (°), I/Imax
0 1 -1, 15.83, 39.5
0 1 1, 16.20, 30.4
-1 1 1, 22.02, 24.1
1 -1 1, 22.25, 22.7
0 1 -2, 24.19, 33.3
1 1 0, 24.70, 100.0
1 0 -2, 27.95, 24.9
1 -2 1, 28.60, 82.7
1 0 2, 28.74, 37.8
0 2 -2, 31.98, 31.5
0 2 2, 32.74, 27.6
1 -2 3, 42.05, 19.4

Atomic structure:
Unit cell a=4.9359 b=7.6229 c=8.3846 alpha=90.95 beta=91.29 gamma=104.86
Space group P1 (No. 1)
Asymmetric unit:
1 Li 0.0000 0.0000 0.0000 (multiplicity 1)
2 Li 0.1586 0.3728 0.2932 (multiplicity 1)
3 Li 0.4346 0.5324 0.7886 (multiplicity 1)
4 Li 0.6667 0.8500 0.5061 (multiplicity 1)
5 Fe 0.0538 0.1931 0.6450 (multiplicity 1)
6 Fe 0.5522 0.6949 0.1472 (multiplicity 1)
7 P 0.1802 0.9593 0.3085 (multiplicity 1)
8 P 0.4389 0.9357 0.7882 (multiplicity 1)
9 P 0.6780 0.4552 0.5004 (multiplicity 1)
10 P 0.9214 0.4288 0.9859 (multiplicity 1)
11 H 0.0183 0.6757 0.6429 (multiplicity 1)
12 H 0.4925 0.1952 0.1954 (multiplicity 1)
13 H 0.6772 0.1266 0.0157 (multiplicity 1)
14 O 0.0337 0.3708 0.8283 (multiplicity 1)
15 O 0.0622 0.0084 0.4666 (multiplicity 1)
16 O 0.1599 0.5232 0.1023 (multiplicity 1)
17 O 0.2132 0.0453 0.8066 (multiplicity 1)
18 O 0.2894 0.1513 0.2190 (multiplicity 1)
19 O 0.3091 0.7434 0.7206 (multiplicity 1)
20 O 0.4166 0.8663 0.3281 (multiplicity 1)
21 O 0.4402 0.3568 0.6096 (multiplicity 1)
22 O 0.5599 0.5024 0.3421 (multiplicity 1)
23 O 0.5747 0.9297 0.9578 (multiplicity 1)
24 O 0.6695 0.0352 0.6745 (multiplicity 1)
25 O 0.7049 0.5377 0.9609 (multiplicity 1)
26 O 0.7804 0.2436 0.0793 (multiplicity 1)
27 O 0.8177 0.6440 0.5910 (multiplicity 1)
28 O 0.9020 0.3473 0.4795 (multiplicity 1)
29 O 0.9473 0.8567 0.1925 (multiplicity 1)